# Ca4TeAsBr2
Calculated PXRD pattern, Cu Kα (weighted mean of Kα1 and Kα2). Input: a DFT-relaxed cell (GGA-PBE, Alexandria).

Cell and atoms:
```
data_Ca4TeAsBr2
_cell_length_a 7.473
_cell_length_b 4.386
_cell_length_c 7.682
_cell_angle_alpha 90.00
_cell_angle_beta 109.92
_cell_angle_gamma 90.00
_space_group_name_H-M_alt 'P 1 2/m 1'
_space_group_IT_number 10
loop_
_space_group_symop_operation_xyz
'x,y,z'
'-x,-y,-z'
'-x,y,-z'
'x,-y,z'
loop_
_atom_site_label
_atom_site_fract_x
_atom_site_fract_y
_atom_site_fract_z
Ca1 0.219 0.000 0.222
Ca2 0.229 0.500 0.765
Te1 0.000 0.000 0.500
As1 0.000 0.500 0.000
Br1 0.500 0.000 0.000
Br2 0.500 0.500 0.500
```

Peak list (6 most intense, 10 to 90 degrees two-theta, by intensity)
2theta	I (rel.)
28.9	1000
28.8	501
40.8	373
41.7	343
24.9	198
51.0	192